(1)
For Pr4Dy8Ho3, a DFT-relaxed cell (PBE, Alexandria) gives the computed PXRD pattern in this record (copper Kα).
Lines closer than 0.1° are merged.

The 10 most intense peaks (10 to 80 degrees two-theta), low angle first:
two_theta  intensity
26.65  15.1
29.71  22.9
30.07  67.4
31.29  100.0
35.93  72.8
50.93  27.0
52.51  36.0
60.29  17.0
61.71  44.3
65.28  14.2

Crystal structure
abc: 12.5479 12.5479 12.5479
angles: 32.25 32.25 32.25
Sites, in units of the cell vectors:
1 Pr 0.0000 0.0000 0.0000
2 Pr 0.1635 0.1635 0.1635
3 Pr 0.5000 0.5000 0.5000
4 Pr 0.8365 0.8365 0.8365
5 Dy 0.2494 0.2494 0.7466
6 Dy 0.2494 0.7466 0.2494
7 Dy 0.2534 0.7506 0.7506
8 Dy 0.2555 0.2555 0.2555
9 Dy 0.7445 0.7445 0.7445
10 Dy 0.7466 0.2494 0.2494
11 Dy 0.7506 0.2534 0.7506
12 Dy 0.7506 0.7506 0.2534
13 Ho 0.0000 0.5000 0.5000
14 Ho 0.5000 0.0000 0.5000
15 Ho 0.5000 0.5000 0.0000

(2)
For Cs6Rb2F, a DFT-relaxed cell (PBE, Alexandria) gives the computed PXRD pattern in this record (copper Kα).
Lines closer than 0.1° are merged.

The 10 most intense peaks (10 to 80 degrees two-theta), low angle first:
two_theta  intensity
18.96  42.5
19.98  100.0
20.72  21.9
23.47  30.7
25.35  56.3
29.83  23.1
34.51  36.8
39.67  33.7
40.19  14.3
40.62  15.3

Crystal structure
abc: 11.1208 11.1208 11.1208
angles: 55.73 55.73 55.73
Sites, in units of the cell vectors:
1 Cs 0.0047 0.4977 0.4977
2 Cs 0.1447 0.6955 0.6955
3 Cs 0.4977 0.0047 0.4977
4 Cs 0.4977 0.4977 0.0047
5 Cs 0.6955 0.1447 0.6955
6 Cs 0.6955 0.6955 0.1447
7 Rb 0.1456 0.1456 0.1456
8 Rb 0.9731 0.9731 0.9731
9 F 0.8762 0.8762 0.8762